# 1
Starting from a PBE+U-relaxed structure, the powder XRD pattern of VOF2 was computed for Cu Kα X-rays.
Neutral-atom scattering factors, no anomalous dispersion.

Atomic structure:
Cell lengths 5.1561, 5.3549, 11.8023 Å; angles 100.37, 102.36, 91.68 degrees
Space group P-1 (No. 2)
One atom of each set of equivalent atoms:
1 V 0.0000 0.0000 0.0000 (multiplicity 1)
2 V 0.1341 0.1974 0.3389 (multiplicity 2)
3 V 0.3582 0.3007 0.6698 (multiplicity 2)
4 V 0.5000 0.5000 0.0000 (multiplicity 1)
5 O 0.1058 0.6139 0.6374 (multiplicity 2)
6 O 0.2844 0.2373 0.0217 (multiplicity 2)
7 O 0.4559 0.9421 0.3118 (multiplicity 2)
8 F 0.0067 0.1149 0.6251 (multiplicity 2)
9 F 0.0129 0.9214 0.8316 (multiplicity 2)
10 F 0.2413 0.7392 0.0419 (multiplicity 2)
11 F 0.3085 0.4239 0.8315 (multiplicity 2)
12 F 0.3543 0.2768 0.5007 (multiplicity 2)
13 F 0.3577 0.4312 0.2878 (multiplicity 2)

Main lines, most intense first (10° ≤ 2θ ≤ 80°):
- 23.6 deg, rel. 100, (1 -1 0)
- 24.3 deg, rel. 48, (1 1 -1)
- 55.2 deg, rel. 11, (2 2 1)
- 48.3 deg, rel. 10, (0 0 6)
- 39.9 deg, rel. 10, (1 0 -5)
- 49.9 deg, rel. 10, (2 2 -2)
- 48.3 deg, rel. 9, (2 -2 0)
- 33.6 deg, rel. 7, (1 1 2)
- 33.1 deg, rel. 6, (-1 1 3)
- 33.5 deg, rel. 6, (0 2 -1)

---

# 2
Starting from a PBE+U-relaxed structure, the powder XRD pattern of VOF2 was computed for Cu Kα X-rays.
Neutral-atom scattering factors, no anomalous dispersion.

Atomic structure:
Cell lengths 9.1555, 5.3841, 5.4092 Å; angles 90.00, 125.06, 90.00 degrees
Space group Cc (No. 9)
One atom of each set of equivalent atoms:
1 V 0.0000 0.2469 0.0000 (multiplicity 4)
2 O 0.2223 0.2237 0.2233 (multiplicity 4)
3 F 0.4542 0.4416 0.7629 (multiplicity 4)
4 F 0.4849 0.0582 0.1774 (multiplicity 4)

Main lines, most intense first (10° ≤ 2θ ≤ 80°):
- 23.3 deg, rel. 100, (1 1 -1)
- 23.7 deg, rel. 62, (2 0 0)
- 47.7 deg, rel. 24, (2 2 -2)
- 53.6 deg, rel. 21, (3 1 -3)
- 33.3 deg, rel. 17, (0 2 0)
- 54.2 deg, rel. 14, (3 1 1)
- 48.6 deg, rel. 13, (4 0 0)
- 53.8 deg, rel. 12, (1 3 -1)
- 69.9 deg, rel. 8, (2 2 2)
- 33.8 deg, rel. 8, (3 1 -1)

---

# 3
Starting from a PBE+U-relaxed structure, the powder XRD pattern of V3OF7 was computed for Cu Kα X-rays.
Neutral-atom scattering factors, no anomalous dispersion.

Atomic structure:
Cell lengths 15.3596, 9.9705, 4.0274 Å; angles 90.00, 90.00, 90.00 degrees
Space group Pnma (No. 62)
One atom of each set of equivalent atoms:
1 V 0.0398 0.2500 0.0108 (multiplicity 4)
2 V 0.1793 0.5734 0.0043 (multiplicity 8)
3 O 0.2072 0.7500 0.0052 (multiplicity 4)
4 F 0.0368 0.2500 0.5110 (multiplicity 4)
5 F 0.0524 0.6138 0.9893 (multiplicity 8)
6 F 0.1342 0.1162 0.0099 (multiplicity 8)
7 F 0.1984 0.5346 0.5052 (multiplicity 8)

Main lines, most intense first (10° ≤ 2θ ≤ 80°):
- 22.8 deg, rel. 100, (1 0 1)
- 21.2 deg, rel. 88, (2 2 0)
- 24.8 deg, rel. 43, (4 1 0)
- 29.3 deg, rel. 42, (2 3 0)
- 45.0 deg, rel. 39, (0 0 2)
- 44.7 deg, rel. 29, (6 3 0)
- 51.6 deg, rel. 21, (4 5 0)
- 55.1 deg, rel. 19, (7 3 1)
- 28.2 deg, rel. 15, (3 0 1)
- 65.3 deg, rel. 15, (6 3 2)